1.
Starting from a crystal structure in Alexandria, relaxed with PBE, the X-ray diffraction stick pattern of Y2Ho2Bi2C was calculated for copper Kα.
Lines closer than 0.1° are merged.

Atomic structure:
a b c (Å): 4.837 4.837 16.014
angles (deg): 90.00 90.00 90.00
Atoms (fractional coordinates):
Y  0.000  0.000  0.154
Y  0.000  0.000  0.846
Y  0.500  0.500  0.346
Y  0.500  0.500  0.654
Ho  0.000  0.500  0.000
Ho  0.000  0.500  0.500
Ho  0.500  0.000  0.000
Ho  0.500  0.000  0.500
Bi  0.000  0.000  0.356
Bi  0.000  0.000  0.644
Bi  0.500  0.500  0.144
Bi  0.500  0.500  0.856
C  0.000  0.000  0.000
C  0.500  0.500  0.500

Most intense lines, 10° ≤ 2θ ≤ 90°, by angle:
2θ (°), Rel. int.
28.38, 56
33.58, 25
34.49, 100
37.18, 53
50.96, 30
53.59, 18
64.22, 19
65.31, 32


2.
Starting from a crystal structure in Alexandria, relaxed with PBE, the X-ray diffraction stick pattern of BiCI3 was calculated for copper Kα.
Lines closer than 0.1° are merged.

Atomic structure:
a b c (Å): 5.149 5.149 5.149
angles (deg): 90.00 90.00 90.00
Atoms (fractional coordinates):
Bi  0.000  0.000  0.000
C  0.500  0.500  0.500
I  0.000  0.500  0.500
I  0.500  0.000  0.500
I  0.500  0.500  0.000

Most intense lines, 10° ≤ 2θ ≤ 90°, by angle:
2θ (°), Rel. int.
24.45, 6
30.06, 100
34.85, 55
50.11, 39
59.54, 44
62.48, 13
81.47, 18
84.06, 18


3.
Starting from a crystal structure in Alexandria, relaxed with PBE, the X-ray diffraction stick pattern of La21Mn8Bi7C12 was calculated for copper Kα.
Lines closer than 0.1° are merged.

Atomic structure:
a b c (Å): 11.744 11.744 11.744
angles (deg): 60.00 60.00 60.00
Atoms (fractional coordinates):
La  0.000  0.000  0.000
La  0.136  0.136  0.136
La  0.136  0.136  0.591
La  0.136  0.591  0.136
La  0.157  0.500  0.500
La  0.157  0.500  0.843
La  0.157  0.843  0.500
La  0.409  0.864  0.864
La  0.500  0.157  0.500
La  0.500  0.157  0.843
La  0.500  0.500  0.157
La  0.500  0.500  0.843
La  0.500  0.843  0.157
La  0.500  0.843  0.500
La  0.591  0.136  0.136
La  0.843  0.157  0.500
La  0.843  0.500  0.157
La  0.843  0.500  0.500
La  0.864  0.409  0.864
La  0.864  0.864  0.409
La  0.864  0.864  0.864
Mn  0.094  0.302  0.302
Mn  0.302  0.094  0.302
Mn  0.302  0.302  0.094
Mn  0.302  0.302  0.302
Mn  0.698  0.698  0.698
Mn  0.698  0.698  0.906
Mn  0.698  0.906  0.698
Mn  0.906  0.698  0.698
Bi  0.209  0.209  0.791
Bi  0.209  0.791  0.209
Bi  0.209  0.791  0.791
Bi  0.500  0.500  0.500
Bi  0.791  0.209  0.209
Bi  0.791  0.209  0.791
Bi  0.791  0.791  0.209
C  0.107  0.107  0.393
C  0.107  0.393  0.107
C  0.107  0.393  0.393
C  0.393  0.107  0.107
C  0.393  0.107  0.393
C  0.393  0.393  0.107
C  0.607  0.607  0.893
C  0.607  0.893  0.607
C  0.607  0.893  0.893
C  0.893  0.607  0.607
C  0.893  0.607  0.893
C  0.893  0.893  0.607

Most intense lines, 10° ≤ 2θ ≤ 90°, by angle:
2θ (°), Rel. int.
27.91, 100
30.44, 46
31.88, 44
32.34, 74
41.77, 37
46.39, 31
55.01, 20
57.39, 22


Repeat the second record exactly.
Starting from a crystal structure in Alexandria, relaxed with PBE, the X-ray diffraction stick pattern of BiCI3 was calculated for copper Kα.
Lines closer than 0.1° are merged.

Atomic structure:
a b c (Å): 5.149 5.149 5.149
angles (deg): 90.00 90.00 90.00
Atoms (fractional coordinates):
Bi  0.000  0.000  0.000
C  0.500  0.500  0.500
I  0.000  0.500  0.500
I  0.500  0.000  0.500
I  0.500  0.500  0.000

Most intense lines, 10° ≤ 2θ ≤ 90°, by angle:
2θ (°), Rel. int.
24.45, 6
30.06, 100
34.85, 55
50.11, 39
59.54, 44
62.48, 13
81.47, 18
84.06, 18